# 1
For Tm2Te5O13, a GGA-PBE-relaxed structure gives the simulated X-ray powder pattern in this record (Cu Ka).
No peak broadening, texture or thermal motion is included.

The 6 most intense peaks (2θ = 10–80°), by angle:
2θ/deg	I_rel	hkl
27.00	48.4	1 2 2
27.16	48.1	0 1 -3
27.70	100.0	2 1 -1
30.82	31.9	2 0 2
31.92	25.9	-1 1 3
32.44	22.7	1 3 -1

Atomic structure:
a = 6.945 Å, b = 8.750 Å, c = 10.732 Å
α = 88.91°, β = 87.19°, γ = 74.92°
Space group P-1 (No. 2)
Symmetry-distinct sites (fractional):
Tm: 0.003 0.241 0.240 x2
Tm: 0.447 0.970 0.820 x2
Te: 0.126 0.853 0.104 x2
Te: 0.156 0.302 0.645 x2
Te: 0.270 0.896 0.488 x2
Te: 0.292 0.375 0.977 x2
Te: 0.445 0.401 0.300 x2
O: 0.039 0.852 0.568 x2
O: 0.058 0.318 0.042 x2
O: 0.068 0.766 0.275 x2
O: 0.069 0.516 0.694 x2
O: 0.128 0.992 0.899 x2
O: 0.234 0.000 0.186 x2
O: 0.316 0.236 0.285 x2
O: 0.322 0.731 0.777 x2
O: 0.333 0.236 0.776 x2
O: 0.337 0.014 0.620 x2
O: 0.354 0.482 0.123 x2
O: 0.458 0.694 0.521 x2
O: 0.471 0.169 0.001 x2

***

# 2
For Pu2NpTe5, a GGA-PBE-relaxed structure gives the simulated X-ray powder pattern in this record (Cu Ka).
No peak broadening, texture or thermal motion is included.

The 6 most intense peaks (2θ = 10–80°), by angle:
2θ/deg	I_rel	hkl
18.39	43.8	1 0 -1
21.63	61.1	1 1 -1
25.15	84.8	1 1 1
27.27	44.6	1 2 0
36.41	100.0	0 2 2
38.05	77.1	2 2 0

Atomic structure:
a = 6.045 Å, b = 7.840 Å, c = 6.475 Å
α = 90.00°, β = 101.14°, γ = 90.00°
Space group P2/m (No. 10)
Symmetry-distinct sites (fractional):
Pu: 0.000 0.000 0.000 x1
Pu: 0.000 0.500 0.500 x1
Np: 0.500 0.000 0.500 x1
Te: 0.000 0.000 0.500 x1
Te: 0.319 0.286 0.202 x4

***

# 3
For SmYMn4Ge4, a GGA-PBE-relaxed structure gives the simulated X-ray powder pattern in this record (Cu Ka).
No peak broadening, texture or thermal motion is included.

The 6 most intense peaks (2θ = 10–80°), by angle:
2θ/deg	I_rel	hkl
31.92	30.0	1 1 0
33.56	100.0	1 0 3
36.07	99.4	1 1 2
45.76	63.5	2 0 0
47.84	44.0	1 0 5
57.93	40.9	2 1 3

Atomic structure:
a = 3.965 Å, b = 3.965 Å, c = 10.834 Å
α = 90.00°, β = 90.00°, γ = 90.00°
Space group P4/mmm (No. 123)
Symmetry-distinct sites (fractional):
Sm: 0.000 0.000 0.000 x1
Y: 0.500 0.500 0.500 x1
Mn: 0.000 0.500 0.252 x4
Ge: 0.000 0.000 0.381 x2
Ge: 0.500 0.500 0.123 x2

***

# 4
For Pr3SiI2, a GGA-PBE-relaxed structure gives the simulated X-ray powder pattern in this record (Cu Ka).
No peak broadening, texture or thermal motion is included.

The 6 most intense peaks (2θ = 10–80°), by angle:
2θ/deg	I_rel	hkl
27.87	100.0	2 0 -2
30.26	16.9	1 3 -2
39.06	10.8	2 0 2
39.13	19.3	1 3 -3
40.52	35.8	3 3 -1
49.89	18.1	2 6 -2

Atomic structure:
a = 7.713 Å, b = 13.356 Å, c = 8.072 Å
α = 90.00°, β = 108.44°, γ = 90.00°
Space group C2/m (No. 12)
Symmetry-distinct sites (fractional):
Pr: 0.203 0.000 0.199 x4
Pr: 0.250 0.181 0.796 x8
Si: 0.000 0.168 0.000 x4
I: 0.000 0.000 0.500 x2
I: 0.000 0.340 0.500 x4
I: 0.000 0.500 0.000 x2

***

# 5
For PrFeNi4, a GGA-PBE-relaxed structure gives the simulated X-ray powder pattern in this record (Cu Ka).
No peak broadening, texture or thermal motion is included.

The 6 most intense peaks (2θ = 10–80°), by angle:
2θ/deg	I_rel	hkl
30.53	47.8	1 0 1
35.58	30.6	1 1 0
41.32	37.7	2 0 0
42.53	100.0	1 1 1
46.01	25.5	0 0 2
68.68	22.5	3 0 1

Atomic structure:
a = 5.0466 Å, b = 5.0466 Å, c = 3.9449 Å
α = 90.00°, β = 90.00°, γ = 120.00°
Space group P-6m2 (No. 187)
Symmetry-distinct sites (fractional):
Pr: 0.0000 0.0000 0.0000 x1
Fe: 0.3333 0.6667 0.0000 x1
Ni: 0.5004 0.0007 0.5000 x3
Ni: 0.6667 0.3333 0.0000 x1

***

# 6
For NaTl4Cd, a GGA-PBE-relaxed structure gives the simulated X-ray powder pattern in this record (Cu Ka).
No peak broadening, texture or thermal motion is included.

The 6 most intense peaks (2θ = 10–80°), by angle:
2θ/deg	I_rel	hkl
29.67	43.3	2 2 0
32.52	65.9	0 0 3
32.96	100.0	2 2 1
33.65	34.2	4 0 -2
34.50	95.5	2 2 -2
35.90	33.1	4 0 1

Atomic structure:
a = 11.708 Å, b = 7.107 Å, c = 8.521 Å
α = 90.00°, β = 104.21°, γ = 90.00°
Space group C2/m (No. 12)
Symmetry-distinct sites (fractional):
Na: 0.127 0.000 0.332 x4
Tl: 0.000 0.260 0.000 x4
Tl: 0.119 0.260 0.656 x8
Tl: 0.246 0.000 0.000 x4
Cd: 0.134 0.500 0.326 x4

***

# 7
For Ca2Pr2Nd, a GGA-PBE-relaxed structure gives the simulated X-ray powder pattern in this record (Cu Ka).
No peak broadening, texture or thermal motion is included.

The 6 most intense peaks (2θ = 10–80°), by angle:
2θ/deg	I_rel	hkl
28.09	49.4	2 0 1
28.49	40.0	0 0 5
29.81	100.0	1 1 -2
32.49	65.1	1 1 3
35.95	40.2	2 0 -4
57.31	32.7	3 1 5

Atomic structure:
a = 6.489 Å, b = 3.745 Å, c = 15.664 Å
α = 90.00°, β = 90.04°, γ = 90.00°
Space group C2/m (No. 12)
Symmetry-distinct sites (fractional):
Ca: 0.166 0.000 0.395 x4
Pr: 0.166 0.000 0.811 x4
Nd: 0.000 0.500 0.000 x2

***

# 8
For SmPaTe2, a GGA-PBE-relaxed structure gives the simulated X-ray powder pattern in this record (Cu Ka).
No peak broadening, texture or thermal motion is included.

The 6 most intense peaks (2θ = 10–80°), by angle:
2θ/deg	I_rel	hkl
25.64	25.1	0 1 1
27.74	30.6	1 1 1
33.12	52.0	2 0 2
33.33	100.0	2 1 1
44.88	34.4	0 1 3
63.60	24.5	4 1 3

Atomic structure:
a = 8.488 Å, b = 3.999 Å, c = 7.020 Å
α = 90.00°, β = 90.00°, γ = 90.00°
Space group Pmma (No. 51)
Symmetry-distinct sites (fractional):
Sm: 0.000 0.000 0.000 x2
Pa: 0.000 0.500 0.500 x2
Te: 0.250 0.000 0.337 x2
Te: 0.250 0.500 0.827 x2

***

# 9
For Mg2Sc3Hg6, a GGA-PBE-relaxed structure gives the simulated X-ray powder pattern in this record (Cu Ka).
No peak broadening, texture or thermal motion is included.

The 6 most intense peaks (2θ = 10–80°), by angle:
2θ/deg	I_rel	hkl
21.74	45.5	0 0 6
26.75	100.0	1 1 2
36.69	61.4	2 0 0
39.25	82.9	1 1 8
43.06	32.5	2 0 6
67.78	33.5	3 1 8

Atomic structure:
a = 4.898 Å, b = 4.898 Å, c = 24.526 Å
α = 90.00°, β = 90.00°, γ = 90.00°
Space group I4/mmm (No. 139)
Symmetry-distinct sites (fractional):
Mg: 0.000 0.000 0.130 x4
Sc: 0.000 0.000 0.366 x4
Sc: 0.000 0.000 0.500 x2
Hg: 0.000 0.000 0.247 x4
Hg: 0.000 0.500 0.067 x8

***

# 10
For ScHPd3, a GGA-PBE-relaxed structure gives the simulated X-ray powder pattern in this record (Cu Ka).
No peak broadening, texture or thermal motion is included.

The 6 most intense peaks (2θ = 10–80°), by angle:
2θ/deg	I_rel	hkl
38.48	100.0	2 0 2
43.48	17.6	0 0 4
45.34	31.5	2 2 0
64.63	20.8	2 2 4
76.47	12.3	2 0 6
79.12	23.0	2 4 2

Atomic structure:
a = 5.658 Å, b = 5.658 Å, c = 8.325 Å
α = 90.00°, β = 90.00°, γ = 90.00°
Space group Imm2 (No. 44)
Symmetry-distinct sites (fractional):
Sc: 0.000 0.000 0.000 x2
Sc: 0.000 0.000 0.472 x2
H: 0.000 0.000 0.736 x2
H: 0.000 0.500 0.249 x2
Pd: 0.000 0.500 0.488 x2
Pd: 0.000 0.500 0.984 x2
Pd: 0.247 0.250 0.736 x8

***

# 11
For Ca8InRh2, a GGA-PBE-relaxed structure gives the simulated X-ray powder pattern in this record (Cu Ka).
No peak broadening, texture or thermal motion is included.

The 6 most intense peaks (2θ = 10–80°), by angle:
2θ/deg	I_rel	hkl
14.92	100.0	1 0 0
20.58	60.9	1 -1 1
23.36	65.4	1 1 -2
29.97	69.1	1 2 -2
30.56	53.7	-1 1 2
37.32	50.7	2 1 -3

Atomic structure:
a = 6.704 Å, b = 7.769 Å, c = 8.289 Å
α = 112.88°, β = 108.33°, γ = 101.07°
Space group P1 (No. 1)
Symmetry-distinct sites (fractional):
Ca: 0.000 0.000 0.000 x1
Ca: 0.013 0.473 0.779 x1
Ca: 0.249 0.538 0.279 x1
Ca: 0.340 0.220 0.542 x1
Ca: 0.402 0.895 0.779 x1
Ca: 0.635 0.589 0.000 x1
Ca: 0.664 0.329 0.279 x1
Ca: 0.837 0.911 0.541 x1
In: 0.413 0.890 0.192 x1
Rh: 0.266 0.243 0.896 x1
Rh: 0.640 0.617 0.644 x1